Structure and computed powder X-ray diffraction pattern of MgMn6Nb4O18 (a DFT-relaxed cell (PBE+U, Alexandria); λ = 1.5418 Å (Cu Kα)).

Structural model:
a b c (Å): 5.3980 5.4114 15.1249
angles (deg): 89.98 80.67 62.60
Space group P1 (No. 1)
Asymmetric unit:
Mg (0.0000, 0.0000, 0.0000)
Mn (0.1739, 0.3230, 0.4352)
Mn (0.3656, 0.2483, 0.1551)
Mn (0.4496, 0.2872, 0.9422)
Mn (0.8281, 0.9903, 0.4556)
Mn (0.8448, 0.6170, 0.8906)
Mn (0.9580, 0.5054, 0.6418)
Nb (0.2420, 0.9207, 0.7984)
Nb (0.3324, 0.7855, 0.6033)
Nb (0.5676, 0.6265, 0.3251)
Nb (0.7485, 0.5524, 0.1245)
O (0.0718, 0.7602, 0.7149)
O (0.0837, 0.0741, 0.5399)
O (0.1551, 0.2160, 0.0616)
O (0.2000, 0.1657, 0.7008)
O (0.2073, 0.6638, 0.8945)
O (0.2125, 0.6633, 0.3811)
O (0.3009, 0.4724, 0.5558)
O (0.4536, 0.8732, 0.2042)
O (0.5115, 0.9597, 0.8594)
O (0.5421, 0.9547, 0.3825)
O (0.5816, 0.3506, 0.2207)
O (0.5896, 0.3579, 0.0544)
O (0.5906, 0.6132, 0.7098)
O (0.7182, 0.7317, 0.5534)
O (0.7794, 0.7844, 0.0306)
O (0.8146, 0.3476, 0.3902)
O (0.9082, 0.2139, 0.8839)
O (0.9719, 0.5158, 0.2177)

The 10 most intense peaks (2θ = 10–90°), low angle first:
| Position (°2θ) | d (Å) | I (rel.) |
| --- | --- | --- |
| 18.7 | 4.748 | 61 |
| 19.0 | 4.674 | 56 |
| 19.3 | 4.596 | 45 |
| 20.8 | 4.273 | 38 |
| 21.7 | 4.090 | 37 |
| 31.7 | 2.823 | 57 |
| 31.9 | 2.807 | 65 |
| 32.4 | 2.763 | 62 |
| 32.5 | 2.752 | 56 |
| 33.2 | 2.698 | 100 |